# 1
Diffraction record for InPO4. The X-ray powder pattern is calculated, not measured: it uses DFT lattice parameters and positions (GGA-PBE) and Cu Kα X-rays.
No peak broadening, texture or thermal motion is included.

Principal peaks in the range 5 to 70 degrees two-theta, in order of rising 2θ:
hkl, two_theta, I/Imax
2 0 0, 19.69, 47.0
1 0 1, 20.68, 100.0
1 1 1, 24.28, 27.8
2 2 0, 32.30, 62.6
1 2 1, 32.93, 71.5
3 0 1, 35.06, 51.9
0 0 2, 36.80, 20.5
3 2 1, 43.75, 34.8
2 2 2, 49.75, 35.8
5 2 1, 60.76, 22.0

Crystal structure
Unit cell a=9.0160 b=7.0300 c=4.8852 alpha=90.00 beta=90.00 gamma=90.00
Space group Pnma (No. 62)
One atom of each set of equivalent atoms:
In1 0.0000 0.0000 0.0000
P1 0.1762 0.2500 0.4823
O1 0.1216 0.2500 0.7878
O2 0.1246 0.0650 0.3471
O3 0.1484 0.7500 0.9635



# 2
Diffraction record for In2P2O7. The X-ray powder pattern is calculated, not measured: it uses DFT lattice parameters and positions (GGA-PBE) and Cu Kα X-rays.
No peak broadening, texture or thermal motion is included.

Principal peaks in the range 5 to 70 degrees two-theta, in order of rising 2θ:
hkl, two_theta, I/Imax
0 0 2, 21.50, 41.0
0 1 2, 23.09, 34.6
2 0 0, 24.23, 24.5
1 2 1, 24.85, 32.5
0 3 1, 27.36, 54.8
1 3 0, 27.97, 58.8
1 1 2, 28.86, 100.0
2 2 -1, 29.02, 99.6
1 1 -3, 32.43, 28.9
1 3 -3, 40.56, 25.9

Crystal structure
Unit cell a=7.6566 b=10.6231 c=8.6156 alpha=90.00 beta=106.37 gamma=90.00
Space group P2_1/c (No. 14)
One atom of each set of equivalent atoms:
In1 0.1719 0.1798 0.0647
In2 0.2392 0.6008 0.2583
P1 0.1300 0.5979 0.8255
P2 0.4360 0.6350 0.6909
O1 0.0072 0.0040 0.2212
O2 0.0727 0.7291 0.7501
O3 0.1359 0.5923 0.0015
O4 0.3165 0.6047 0.5211
O5 0.3340 0.5688 0.8134
O6 0.3738 0.0767 0.7653
O7 0.4550 0.7240 0.2337